# Mg2Cu
Theoretical X-ray diffraction stick pattern, CuKα. Input: the PBE geometry in Alexandria.

Structure:
a = 5.5931 Å, b = 5.5931 Å, c = 7.0489 Å
α = 90.00°, β = 90.00°, γ = 120.00°
Space group P-31m (No. 162)
Symmetry-distinct sites (fractional):
Mg: 0.0000 0.3525 0.2256 [6 per cell]
Cu: 0.0000 0.0000 0.0000 [1 per cell]
Cu: 0.3333 0.6667 0.5000 [2 per cell]

The 10 most intense peaks (2θ = 10–90°), by angle:
two_theta, I_rel
22.27, 100
32.00, 18
34.50, 41
39.34, 24
41.21, 84
42.77, 19
51.58, 21
57.04, 24
72.76, 13
80.72, 14

=====

# Mg7Cu6
Theoretical X-ray diffraction stick pattern, CuKα. Input: the PBE geometry in Alexandria.

Structure:
a = 5.4954 Å, b = 5.4954 Å, c = 26.5410 Å
α = 90.00°, β = 90.00°, γ = 120.00°
Space group R-3m (No. 166, hexagonal axes)
Symmetry-distinct sites (fractional):
Mg: 0.0000 0.0000 0.0000 [3 per cell]
Mg: 0.0052 0.5026 0.4194 [18 per cell]
Cu: 0.0000 0.0000 0.1667 [6 per cell]
Cu: 0.0000 0.0000 0.3552 [6 per cell]
Cu: 0.0000 0.0000 0.4531 [6 per cell]

The 10 most intense peaks (2θ = 10–90°), by angle:
two_theta, I_rel
32.59, 100
37.96, 28
38.57, 66
38.85, 44
41.59, 17
41.98, 48
58.15, 17
62.37, 21
64.63, 25
68.27, 24

=====

# Mg3Cu
Theoretical X-ray diffraction stick pattern, CuKα. Input: the PBE geometry in Alexandria.

Structure:
a = 3.1956 Å, b = 11.0500 Å, c = 8.7219 Å
α = 90.00°, β = 90.00°, γ = 90.00°
Space group Cmcm (No. 63)
Symmetry-distinct sites (fractional):
Mg: 0.0000 0.0499 0.2500 [4 per cell]
Mg: 0.0000 0.3621 0.0467 [8 per cell]
Cu: 0.0000 0.2514 0.7500 [4 per cell]

The 10 most intense peaks (2θ = 10–90°), by angle:
two_theta, I_rel
16.04, 75
20.36, 37
26.03, 26
30.88, 49
35.77, 35
38.58, 73
38.71, 100
41.41, 28
42.84, 68
66.08, 30

=====

# Mg2Cu
Theoretical X-ray diffraction stick pattern, CuKα. Input: the PBE geometry in Alexandria.

Structure:
a = 5.2887 Å, b = 9.1399 Å, c = 18.0763 Å
α = 90.00°, β = 90.00°, γ = 90.00°
Space group Fddd (No. 70, origin choice 2)
Symmetry-distinct sites (fractional):
Mg: 0.1250 0.1250 0.0394 [16 per cell]
Mg: 0.1250 0.2907 0.6250 [16 per cell]
Cu: 0.1250 0.1250 0.4986 [16 per cell]

The 10 most intense peaks (2θ = 10–90°), by angle:
two_theta, I_rel
19.64, 51
20.01, 46
24.42, 24
37.18, 34
39.39, 52
39.90, 18
40.09, 36
44.39, 100
64.89, 16
71.47, 11